Theoretical XRD peak list
Compound: NaCaBeSn2
Radiation: Cu Ka
Structure: a cell relaxed with PBE
Neutral-atom scattering factors, no anomalous dispersion.

The 12 most intense peaks (2θ = 5–70°), in order of rising 2θ:
d_spacing, I (rel.)
5.804, 100
4.100, 36
3.349, 80
2.900, 78
2.594, 55
2.369, 18
2.051, 58
1.933, 29
1.749, 39
1.674, 20
1.609, 13
1.407, 17

abc: 5.798 5.798 5.804
angles: 90.00 90.00 90.00
Fractional positions:
Na  0.000  0.000  0.000
Ca  0.000  0.000  0.500
Be  0.500  0.500  0.000
Sn  0.000  0.500  0.500
Sn  0.500  0.000  0.500

=====

Theoretical XRD peak list
Compound: Hf2CuPd2
Radiation: Cu Ka
Structure: a cell relaxed with PBE
Neutral-atom scattering factors, no anomalous dispersion.

The 12 most intense peaks (2θ = 5–70°), in order of rising 2θ:
d_spacing, I (rel.)
2.993, 17
2.888, 23
2.544, 46
2.458, 64
2.355, 100
2.212, 17
1.938, 24
1.909, 30
1.734, 17
1.430, 21
1.393, 18
1.380, 25

abc: 7.116 7.116 7.116
angles: 132.11 65.49 138.10
Fractional positions:
Hf  0.172  0.198  0.370
Hf  0.328  0.698  0.026
Hf  0.672  0.302  0.974
Hf  0.828  0.802  0.630
Cu  0.250  0.250  0.000
Cu  0.750  0.750  0.000
Pd  0.102  0.658  0.759
Pd  0.398  0.158  0.556
Pd  0.602  0.842  0.444
Pd  0.898  0.342  0.241